This entry pairs a crystal structure of Er2Ru3Rh with its calculated powder diffractogram. Radiation: Cu Kα. Structure: DFT lattice parameters and positions (GGA-PBE).
Kinematic intensities with the Lorentz-polarization factor, no thermal factor.

Top 10 peaks for 2θ = 10–90°, in order of rising 2θ:
hkl 1 0 4, 33.11 deg, intensity 48.4; hkl 1 1 0, 34.36 deg, intensity 45.5; hkl 0 1 5, 38.84 deg, intensity 62.9; hkl 1 1 3, 39.92 deg, intensity 100.0; hkl 0 2 1, 40.46 deg, intensity 51.0; hkl 2 0 2, 42.15 deg, intensity 42.3; hkl 1 2 5, 64.53 deg, intensity 28.0; hkl 3 0 3, 65.29 deg, intensity 23.2; hkl 2 0 8, 69.49 deg, intensity 28.6; hkl 2 2 0, 72.41 deg, intensity 25.6

Crystal structure
```
data_Er2Ru3Rh
_symmetry_space_group_name_H-M 'R -3 m'
_symmetry_Int_Tables_number 166
_symmetry_space_group_name_Hall '-R 3 2"'
_cell_length_a 5.2206
_cell_length_b 5.2206
_cell_length_c 13.5061
_cell_angle_alpha 90.00
_cell_angle_beta 90.00
_cell_angle_gamma 120.00
loop_
_atom_site_label
_atom_site_fract_x
_atom_site_fract_y
_atom_site_fract_z
Er1 0.0000 0.0000 0.1220
Ru1 0.0000 0.5000 0.0000
Rh1 0.0000 0.0000 0.5000
```